LiSm3Y2Se6: calculated X-ray powder pattern (Cu Kα), based on the GGA-PBE geometry in Alexandria.
Kinematic intensities with the Lorentz-polarization factor, no thermal factor.

Top 10 peaks for 2θ = 10–80°, by angle:
| two_theta | d/Å | I_rel |
| --- | --- | --- |
| 13.1 | 6.744 | 9.5 |
| 25.5 | 3.495 | 9.7 |
| 30.8 | 2.905 | 100.0 |
| 43.9 | 2.061 | 24.4 |
| 44.1 | 2.054 | 24.3 |
| 44.2 | 2.047 | 24.2 |
| 54.8 | 1.676 | 12.7 |
| 64.1 | 1.452 | 11.6 |
| 72.6 | 1.303 | 10.5 |
| 73.0 | 1.296 | 10.6 |

```
12
Lattice="3.543 -6.154 0.000 3.543 6.154 0.000 -2.382 0.000 6.744" Properties=species:S:1:pos:R:3 pbc="T T T"
Li 0.000 0.000 0.000
Sm 2.353 4.099 3.372
Sm 2.353 0.000 3.372
Sm 2.353 -4.099 3.372
Y 3.543 2.035 0.000
Y 3.543 -2.035 0.000
Se 1.143 2.001 1.602
Se -0.086 0.000 5.152
Se 1.143 -2.001 1.602
Se 3.562 2.001 5.141
Se 4.792 0.000 1.592
Se 3.562 -2.001 5.141
```

CaHAuSeClF: calculated X-ray powder pattern (Cu Kα), based on the GGA-PBE geometry in Alexandria.
Kinematic intensities with the Lorentz-polarization factor, no thermal factor.

Top 10 peaks for 2θ = 10–80°, by angle:
| two_theta | d/Å | I_rel |
| --- | --- | --- |
| 11.7 | 7.566 | 100.0 |
| 19.7 | 4.517 | 25.2 |
| 20.4 | 4.355 | 31.4 |
| 21.5 | 4.137 | 37.9 |
| 23.5 | 3.783 | 44.9 |
| 25.5 | 3.493 | 34.9 |
| 28.1 | 3.177 | 39.4 |
| 28.5 | 3.135 | 27.5 |
| 32.4 | 2.763 | 18.9 |
| 39.9 | 2.258 | 19.3 |

```
6
Lattice="4.439 0.000 0.000 0.017 4.517 0.000 1.494 0.011 7.566" Properties=species:S:1:pos:R:3 pbc="T T T"
Ca 0.000 0.000 0.000
H 4.879 2.276 5.648
Au 3.252 0.024 4.713
Se 4.048 2.280 4.382
Cl 2.208 0.003 1.459
F 5.832 2.270 7.169
```

AgIrF4: calculated X-ray powder pattern (Cu Kα), based on the GGA-PBE geometry in Alexandria.
Kinematic intensities with the Lorentz-polarization factor, no thermal factor.

Top 10 peaks for 2θ = 10–80°, by angle:
| two_theta | d/Å | I_rel |
| --- | --- | --- |
| 20.5 | 4.329 | 100.0 |
| 30.0 | 2.981 | 18.5 |
| 35.6 | 2.522 | 43.5 |
| 36.6 | 2.455 | 39.2 |
| 42.9 | 2.108 | 19.4 |
| 45.8 | 1.979 | 12.2 |
| 55.7 | 1.649 | 11.7 |
| 56.9 | 1.617 | 21.5 |
| 57.6 | 1.599 | 13.8 |
| 66.3 | 1.409 | 7.9 |

```
6
Lattice="-2.981 2.981 3.147 2.981 -2.981 3.147 2.981 2.981 -3.147" Properties=species:S:1:pos:R:3 pbc="T T T"
Ag 0.000 0.000 0.000
Ir 0.000 2.981 1.574
F -1.363 1.618 1.574
F 1.363 1.618 1.574
F -1.363 4.344 1.574
F 1.363 4.344 1.574
```

NaSmAuSe2: calculated X-ray powder pattern (Cu Kα), based on the GGA-PBE geometry in Alexandria.
Kinematic intensities with the Lorentz-polarization factor, no thermal factor.

Top 10 peaks for 2θ = 10–80°, by angle:
| two_theta | d/Å | I_rel |
| --- | --- | --- |
| 12.8 | 6.929 | 100.0 |
| 28.9 | 3.089 | 23.7 |
| 30.6 | 2.919 | 41.8 |
| 32.8 | 2.733 | 44.5 |
| 37.2 | 2.414 | 31.0 |
| 38.3 | 2.353 | 22.4 |
| 39.0 | 2.310 | 14.8 |
| 40.8 | 2.211 | 21.8 |
| 44.7 | 2.028 | 21.6 |
| 60.3 | 1.535 | 16.2 |

```
10
Lattice="6.973 0.000 0.000 0.000 5.003 0.000 -0.887 0.000 7.854" Properties=species:S:1:pos:R:3 pbc="T T T"
Na -0.222 0.456 1.963
Na -0.665 4.547 5.890
Sm 2.821 2.469 5.890
Sm 3.265 2.534 1.963
Au 3.486 0.000 0.000
Au 3.043 0.000 3.927
Se 0.637 1.652 7.661
Se 1.080 3.351 3.734
Se 5.005 1.652 4.120
Se 5.449 3.351 0.193
```

ErPuTl4: calculated X-ray powder pattern (Cu Kα), based on the GGA-PBE geometry in Alexandria.
Kinematic intensities with the Lorentz-polarization factor, no thermal factor.

Top 10 peaks for 2θ = 10–80°, by angle:
| two_theta | d/Å | I_rel |
| --- | --- | --- |
| 32.6 | 2.744 | 100.0 |
| 34.4 | 2.608 | 21.8 |
| 34.6 | 2.595 | 21.5 |
| 44.0 | 2.059 | 11.1 |
| 49.6 | 1.840 | 15.9 |
| 57.0 | 1.616 | 10.5 |
| 57.1 | 1.613 | 10.4 |
| 60.5 | 1.531 | 17.6 |
| 60.7 | 1.525 | 17.4 |
| 68.4 | 1.372 | 12.2 |

```
6
Lattice="2.608 -6.177 0.000 2.608 6.177 0.000 0.000 0.000 5.190" Properties=species:S:1:pos:R:3 pbc="T T T"
Er 0.000 0.000 0.000
Pu 2.608 0.000 2.595
Tl 2.608 4.086 2.595
Tl 2.608 2.041 0.000
Tl 2.608 -2.041 0.000
Tl 2.608 -4.086 2.595
```

HfTlReO6: calculated X-ray powder pattern (Cu Kα), based on the GGA-PBE geometry in Alexandria.
Kinematic intensities with the Lorentz-polarization factor, no thermal factor.

Top 10 peaks for 2θ = 10–80°, by angle:
| two_theta | d/Å | I_rel |
| --- | --- | --- |
| 14.7 | 6.045 | 14.9 |
| 24.0 | 3.702 | 100.0 |
| 29.6 | 3.023 | 15.4 |
| 33.1 | 2.703 | 39.2 |
| 41.4 | 2.183 | 21.1 |
| 45.0 | 2.015 | 43.2 |
| 49.2 | 1.851 | 13.5 |
| 54.0 | 1.698 | 22.0 |
| 59.2 | 1.561 | 10.4 |
| 67.5 | 1.387 | 10.7 |

```
9
Lattice="5.406 0.000 0.000 -2.703 4.682 0.000 0.000 0.000 6.045" Properties=species:S:1:pos:R:3 pbc="T T T"
Hf 0.000 0.000 0.000
Tl 0.000 3.121 2.865
Re 2.703 1.561 5.869
O 1.715 0.350 4.834
O 1.175 1.339 1.000
O 3.659 0.348 1.000
O 2.149 3.022 4.834
O 4.246 1.310 4.834
O 3.275 2.995 1.000
```

Dy5AlHg2: calculated X-ray powder pattern (Cu Kα), based on the GGA-PBE geometry in Alexandria.
Kinematic intensities with the Lorentz-polarization factor, no thermal factor.

Top 10 peaks for 2θ = 10–80°, by angle:
| two_theta | d/Å | I_rel |
| --- | --- | --- |
| 13.7 | 6.484 | 14.8 |
| 32.0 | 2.799 | 100.0 |
| 34.5 | 2.597 | 39.1 |
| 41.8 | 2.161 | 12.4 |
| 46.9 | 1.935 | 7.6 |
| 50.5 | 1.809 | 9.9 |
| 55.3 | 1.661 | 17.7 |
| 64.6 | 1.442 | 7.8 |
| 64.8 | 1.438 | 19.3 |
| 70.2 | 1.341 | 7.7 |

```
16
Lattice="-4.106 4.106 6.484 4.106 -4.106 6.484 4.106 4.106 -6.484" Properties=species:S:1:pos:R:3 pbc="T T T"
Dy 0.000 0.000 0.000
Dy 5.388 1.282 -1.975
Dy 1.282 2.824 -1.975
Dy 5.388 1.282 1.975
Dy 1.282 2.824 1.975
Dy 0.000 0.000 6.484
Dy 2.824 1.282 4.509
Dy -1.282 2.824 4.509
Dy 2.824 1.282 8.459
Dy -1.282 2.824 8.459
Al 0.000 0.000 3.242
Al 0.000 0.000 9.726
Hg 2.973 1.133 0.000
Hg 2.973 -1.133 6.484
Hg 1.133 5.239 0.000
Hg 1.133 2.973 6.484
```

LaY7Ho3: calculated X-ray powder pattern (Cu Kα), based on the GGA-PBE geometry in Alexandria.
Kinematic intensities with the Lorentz-polarization factor, no thermal factor.

Top 10 peaks for 2θ = 10–80°, by angle:
| two_theta | d/Å | I_rel |
| --- | --- | --- |
| 18.5 | 4.807 | 18.4 |
| 18.8 | 4.718 | 20.7 |
| 31.6 | 2.831 | 99.5 |
| 32.1 | 2.792 | 100.0 |
| 32.5 | 2.754 | 19.4 |
| 32.7 | 2.741 | 57.4 |
| 45.6 | 1.989 | 14.5 |
| 46.3 | 1.961 | 14.5 |
| 56.8 | 1.620 | 14.8 |
| 57.1 | 1.613 | 15.6 |

```
11
Lattice="6.934 0.000 0.000 0.000 5.587 0.000 -3.187 0.000 9.436" Properties=species:S:1:pos:R:3 pbc="T T T"
La 0.000 0.000 0.000
Y -1.593 0.000 4.718
Y -1.491 2.793 7.432
Y 1.813 2.793 1.325
Y 1.920 0.000 3.132
Y 1.827 0.000 6.305
Y 1.934 2.793 8.111
Y 5.238 2.793 2.004
Ho 0.334 2.793 4.665
Ho 3.467 0.000 0.000
Ho 3.413 2.793 4.771
```

Q: Which formula does entry 3 have?
A: AgIrF4

Q: Which formula does entry 3 have?
A: AgIrF4